[1]
The following is a calculated XRD peak list of NaTl3Cd3. It was derived from a cell relaxed with PBE, using Cu Kα.

Most intense lines, 2θ from 15° to 90°, in order of rising 2θ:
2theta  I_rel  h k l
21.38  19  2 0 1
25.92  17  3 1 0
29.42  13  3 1 1
31.98  47  0 4 0
33.06  18  4 0 0
36.09  100  2 2 2
39.49  24  4 2 1
46.67  12  4 4 0
56.94  19  0 0 4
59.70  19  2 6 2

Structural model:
```
data_NaTl3Cd3
_symmetry_space_group_name_H-M 'C m m m'
_symmetry_Int_Tables_number 65
_symmetry_space_group_name_Hall '-C 2 2'
_cell_length_a 10.8376
_cell_length_b 11.1915
_cell_length_c 6.4745
_cell_angle_alpha 90.00
_cell_angle_beta 90.00
_cell_angle_gamma 90.00
loop_
_atom_site_label
_atom_site_type_symbol
_atom_site_fract_x
_atom_site_fract_y
_atom_site_fract_z
Na1 Na 0.0000 0.1821 0.0000
Tl1 Tl 0.0000 0.2700 0.5000
Tl2 Tl 0.1652 0.0000 0.5000
Tl3 Tl 0.2489 0.5000 0.0000
Cd1 Cd 0.0000 0.5000 0.2445
Cd2 Cd 0.2500 0.2500 0.2476
```

=====

[2]
The following is a calculated XRD peak list of Na3TlCd4. It was derived from a cell relaxed with PBE, using Cu Kα.

Most intense lines, 2θ from 15° to 90°, in order of rising 2θ:
2theta  I_rel  h k l
16.41  39  1 1 0
19.81  36  1 0 1
25.97  51  1 2 1
32.56  100  0 2 2
32.92  77  2 1 1
33.60  44  0 4 0
40.90  47  2 3 1
52.52  20  2 1 3
53.93  19  2 5 1
69.04  33  4 2 2

Structural model:
```
data_Na3TlCd4
_symmetry_space_group_name_H-M 'I m m 2'
_symmetry_Int_Tables_number 44
_symmetry_space_group_name_Hall 'I 2 -2'
_cell_length_a 6.2615
_cell_length_b 10.6693
_cell_length_c 6.4174
_cell_angle_alpha 90.00
_cell_angle_beta 90.00
_cell_angle_gamma 90.00
loop_
_atom_site_label
_atom_site_type_symbol
_atom_site_fract_x
_atom_site_fract_y
_atom_site_fract_z
Na1 Na 0.0000 0.0000 0.0000
Na2 Na 0.0000 0.2431 0.7022
Tl1 Tl 0.0000 0.5000 0.4778
Cd1 Cd 0.0000 0.2708 0.1983
Cd2 Cd 0.2466 0.0000 0.4557
```

=====

[3]
The following is a calculated XRD peak list of Na3Tl3Cd4. It was derived from a cell relaxed with PBE, using Cu Kα.

Most intense lines, 2θ from 15° to 90°, in order of rising 2θ:
2theta  I_rel  h k l
20.12  84  1 0 0
25.46  38  1 2 0
30.15  97  1 2 2
31.98  77  1 3 1
32.44  100  1 1 3
35.16  72  0 4 2
35.80  67  0 2 4
40.87  94  2 0 0
41.41  43  1 2 4
55.01  40  2 4 2

Structural model:
```
data_Na3Tl3Cd4
_symmetry_space_group_name_H-M 'A m m 2'
_symmetry_Int_Tables_number 38
_symmetry_space_group_name_Hall 'A 2 -2'
_cell_length_a 4.4135
_cell_length_b 11.4817
_cell_length_c 11.1538
_cell_angle_alpha 90.00
_cell_angle_beta 90.00
_cell_angle_gamma 90.00
loop_
_atom_site_label
_atom_site_type_symbol
_atom_site_fract_x
_atom_site_fract_y
_atom_site_fract_z
Na1 Na 0.0000 0.0000 0.0000
Na2 Na 0.0000 0.1702 0.6587
Tl1 Tl 0.0000 0.0000 0.3363
Tl2 Tl 0.5000 0.2391 0.9204
Cd1 Cd 0.5000 0.0000 0.5259
Cd2 Cd 0.5000 0.0000 0.7892
Cd3 Cd 0.5000 0.1302 0.1769
```

=====

[4]
The following is a calculated XRD peak list of Na3Tl5Cd3. It was derived from a cell relaxed with PBE, using Cu Kα.

Most intense lines, 2θ from 15° to 90°, in order of rising 2θ:
2theta  I_rel  h k l
16.61  38  1 1 0
25.50  100  2 1 0
26.82  83  0 0 1
28.98  42  3 0 0
33.59  56  2 2 0
35.01  52  3 1 0
37.34  83  2 1 1
43.49  60  2 2 1
44.64  33  3 1 1
66.96  44  6 0 1

Structural model:
```
data_Na3Tl5Cd3
_symmetry_space_group_name_H-M 'P -6 2 m'
_symmetry_Int_Tables_number 189
_symmetry_space_group_name_Hall 'P -6 -2'
_cell_length_a 10.6718
_cell_length_b 10.6718
_cell_length_c 3.3241
_cell_angle_alpha 90.00
_cell_angle_beta 90.00
_cell_angle_gamma 120.00
loop_
_atom_site_label
_atom_site_type_symbol
_atom_site_fract_x
_atom_site_fract_y
_atom_site_fract_z
Na1 Na 0.0000 0.4199 0.0000
Tl1 Tl 0.0000 0.1713 0.5000
Tl2 Tl 0.3333 0.6667 0.5000
Cd1 Cd 0.0000 0.6666 0.5000
```

=====

[5]
The following is a calculated XRD peak list of Na3Tl5Cd. It was derived from a cell relaxed with PBE, using Cu Kα.

Most intense lines, 2θ from 15° to 90°, in order of rising 2θ:
2theta  I_rel  h k l
19.31  75  1 1 0
25.79  37  0 0 1
29.69  20  2 1 0
32.42  59  1 1 1
33.77  100  3 0 0
34.37  37  2 0 1
39.73  43  2 1 1
42.98  46  3 0 1
57.02  39  3 2 1
64.37  39  3 0 2

Structural model:
```
data_Na3Tl5Cd
_symmetry_space_group_name_H-M 'P -6 2 m'
_symmetry_Int_Tables_number 189
_symmetry_space_group_name_Hall 'P -6 -2'
_cell_length_a 9.1938
_cell_length_b 9.1938
_cell_length_c 3.4540
_cell_angle_alpha 90.00
_cell_angle_beta 90.00
_cell_angle_gamma 120.00
loop_
_atom_site_label
_atom_site_type_symbol
_atom_site_fract_x
_atom_site_fract_y
_atom_site_fract_z
Na1 Na 0.0000 0.3641 0.0000
Tl1 Tl 0.0000 0.7055 0.5000
Tl2 Tl 0.3333 0.6667 0.5000
Cd1 Cd 0.0000 0.0000 0.0000
```

=====

[6]
The following is a calculated XRD peak list of NaTl16Cd12. It was derived from a cell relaxed with PBE, using Cu Kα.

Most intense lines, 2θ from 15° to 90°, in order of rising 2θ:
2theta  I_rel  h k l
32.29  64  3 3 0
32.44  100  3 3 -3
32.51  57  0 0 3
35.90  19  2 0 2
36.08  10  3 1 -4
37.62  13  2 6 -2
39.27  9  1 7 0
57.65  10  7 3 -4
57.87  19  2 8 2
57.99  18  1 5 -5

Structural model:
```
data_NaTl16Cd12
_symmetry_space_group_name_H-M 'C 1 m 1'
_symmetry_Int_Tables_number 8
_symmetry_space_group_name_Hall 'C -2y'
_cell_length_a 11.7654
_cell_length_b 16.5524
_cell_length_c 10.1091
_cell_angle_alpha 90.00
_cell_angle_beta 125.22
_cell_angle_gamma 90.00
loop_
_atom_site_label
_atom_site_type_symbol
_atom_site_fract_x
_atom_site_fract_y
_atom_site_fract_z
Na1 Na 0.0000 0.0000 0.0000
Tl1 Tl 0.1193 0.1985 0.0398
Tl2 Tl 0.2123 0.5000 0.4284
Tl3 Tl 0.2807 0.3615 0.7194
Tl4 Tl 0.3055 0.3029 0.4006
Tl5 Tl 0.3146 0.0000 0.0789
Tl6 Tl 0.3200 0.0000 0.7192
Tl7 Tl 0.3744 0.3454 0.1148
Tl8 Tl 0.4669 0.5000 0.3709
Tl9 Tl 0.4795 0.1616 0.3203
Tl10 Tl 0.4976 0.1779 0.7193
Cd1 Cd 0.0055 0.5000 0.5348
Cd2 Cd 0.0463 0.0895 0.7240
Cd3 Cd 0.0849 0.4066 0.0799
Cd4 Cd 0.1406 0.1823 0.5382
Cd5 Cd 0.1792 0.5000 0.8968
Cd6 Cd 0.2295 0.0928 0.3565
Cd7 Cd 0.3193 0.1858 0.9062
```

=====

[7]
The following is a calculated XRD peak list of Na3Tl4Cd4. It was derived from a cell relaxed with PBE, using Cu Kα.

Most intense lines, 2θ from 15° to 90°, in order of rising 2θ:
2theta  I_rel  h k l
18.76  71  0 1 3
25.65  65  1 0 1
32.08  33  1 0 7
32.69  52  1 1 4
34.09  55  0 2 0
34.87  100  0 1 11
41.69  50  1 1 10
43.14  32  1 2 1
61.54  28  0 3 11
64.47  33  2 1 11

Structural model:
```
data_Na3Tl4Cd4
_symmetry_space_group_name_H-M 'I m m m'
_symmetry_Int_Tables_number 71
_symmetry_space_group_name_Hall '-I 2 2'
_cell_length_a 3.4936
_cell_length_b 5.2598
_cell_length_c 32.4504
_cell_angle_alpha 90.00
_cell_angle_beta 90.00
_cell_angle_gamma 90.00
loop_
_atom_site_label
_atom_site_type_symbol
_atom_site_fract_x
_atom_site_fract_y
_atom_site_fract_z
Na1 Na 0.0000 0.0000 0.0000
Na2 Na 0.0000 0.5000 0.1400
Tl1 Tl 0.0000 0.0000 0.4522
Tl2 Tl 0.0000 0.5000 0.3162
Cd1 Cd 0.0000 0.0000 0.2678
Cd2 Cd 0.0000 0.5000 0.4086
```

=====

[8]
The following is a calculated XRD peak list of NaTl3Cd3. It was derived from a cell relaxed with PBE, using Cu Kα.

Most intense lines, 2θ from 15° to 90°, in order of rising 2θ:
2theta  I_rel  h k l
20.09  15  1 0 1
25.85  10  1 1 1
30.37  28  2 1 0
33.37  25  0 0 2
34.76  100  2 1 1
45.74  19  2 1 2
53.97  17  1 4 0
60.54  20  2 1 3
64.95  20  1 4 2
65.81  14  4 2 1

Structural model:
```
data_NaTl3Cd3
_symmetry_space_group_name_H-M 'P 63/m'
_symmetry_Int_Tables_number 176
_symmetry_space_group_name_Hall '-P 6c'
_cell_length_a 8.9907
_cell_length_b 8.9907
_cell_length_c 5.3699
_cell_angle_alpha 90.00
_cell_angle_beta 90.00
_cell_angle_gamma 120.00
loop_
_atom_site_label
_atom_site_type_symbol
_atom_site_fract_x
_atom_site_fract_y
_atom_site_fract_z
Na1 Na 0.3333 0.6667 0.2500
Tl1 Tl 0.0914 0.4589 0.7500
Cd1 Cd 0.0458 0.2244 0.2500
```

=====

[9]
The following is a calculated XRD peak list of Na3Tl5Cd3. It was derived from a cell relaxed with PBE, using Cu Kα.

Most intense lines, 2θ from 15° to 90°, in order of rising 2θ:
2theta  I_rel  h k l
16.29  71  1 1 0
25.00  39  2 1 0
27.91  67  0 0 1
28.41  100  3 0 0
32.48  46  1 1 1
32.93  51  2 2 0
37.81  29  2 1 1
40.25  69  3 0 1
43.69  54  2 2 1
66.31  40  6 0 1

Structural model:
```
data_Na3Tl5Cd3
_symmetry_space_group_name_H-M 'P -6 2 m'
_symmetry_Int_Tables_number 189
_symmetry_space_group_name_Hall 'P -6 -2'
_cell_length_a 10.8810
_cell_length_b 10.8810
_cell_length_c 3.1971
_cell_angle_alpha 90.00
_cell_angle_beta 90.00
_cell_angle_gamma 120.00
loop_
_atom_site_label
_atom_site_type_symbol
_atom_site_fract_x
_atom_site_fract_y
_atom_site_fract_z
Na1 Na 0.0000 0.5924 0.0000
Tl1 Tl 0.0000 0.3299 0.5000
Tl2 Tl 0.3333 0.6667 0.5000
Cd1 Cd 0.0000 0.8394 0.5000
```

=====

[10]
The following is a calculated XRD peak list of Na5Tl2Cd2. It was derived from a cell relaxed with PBE, using Cu Kα.

Most intense lines, 2θ from 15° to 90°, in order of rising 2θ:
2theta  I_rel  h k l
16.24  100  2 0 0
20.19  21  1 1 -1
22.23  41  1 1 1
22.82  16  2 0 -2
32.56  24  3 1 -2
33.62  82  0 2 0
34.60  49  1 1 -3
37.58  26  2 2 0
38.32  26  1 1 3
48.66  26  5 1 1

Structural model:
```
data_Na5Tl2Cd2
_symmetry_space_group_name_H-M 'C 1 2/m 1'
_symmetry_Int_Tables_number 12
_symmetry_space_group_name_Hall '-C 2y'
_cell_length_a 11.2899
_cell_length_b 5.3260
_cell_length_c 8.9048
_cell_angle_alpha 90.00
_cell_angle_beta 104.76
_cell_angle_gamma 90.00
loop_
_atom_site_label
_atom_site_type_symbol
_atom_site_fract_x
_atom_site_fract_y
_atom_site_fract_z
Na1 Na 0.0000 0.0000 0.0000
Na2 Na 0.0814 0.5000 0.2486
Na3 Na 0.1064 0.0000 0.6810
Tl1 Tl 0.2424 0.0000 0.3938
Cd1 Cd 0.2081 0.5000 0.9326
```

=====

[11]
The following is a calculated XRD peak list of Na4Tl4Cd. It was derived from a cell relaxed with PBE, using Cu Kα.

Most intense lines, 2θ from 15° to 90°, in order of rising 2θ:
2theta  I_rel  h k l
17.65  14  2 0 0
19.82  23  1 0 1
26.66  22  2 1 1
32.15  100  3 0 1
35.90  19  0 0 2
37.98  32  3 3 0
53.25  24  3 3 2
62.18  15  3 0 3
64.97  26  6 3 1
87.53  12  6 3 3

Structural model:
```
data_Na4Tl4Cd
_symmetry_space_group_name_H-M 'I 4/m m m'
_symmetry_Int_Tables_number 139
_symmetry_space_group_name_Hall '-I 4 2'
_cell_length_a 10.0521
_cell_length_b 10.0521
_cell_length_c 5.0026
_cell_angle_alpha 90.00
_cell_angle_beta 90.00
_cell_angle_gamma 90.00
loop_
_atom_site_label
_atom_site_type_symbol
_atom_site_fract_x
_atom_site_fract_y
_atom_site_fract_z
Na1 Na 0.1655 0.1655 0.0000
Tl1 Tl 0.0000 0.3305 0.5000
Cd1 Cd 0.0000 0.0000 0.5000
```

=====

[12]
The following is a calculated XRD peak list of Na6Tl3Cd. It was derived from a cell relaxed with PBE, using Cu Kα.

Most intense lines, 2θ from 15° to 90°, in order of rising 2θ:
2theta  I_rel  h k l
21.79  68  1 1 1
22.50  19  0 1 2
25.85  32  2 0 -3
29.70  20  3 0 -2
32.27  37  0 2 0
33.90  100  2 1 2
34.20  42  1 1 -4
41.80  18  2 2 -3
53.13  17  1 0 6
58.60  21  2 3 2

Structural model:
```
data_Na6Tl3Cd
_symmetry_space_group_name_H-M 'P 1 21/m 1'
_symmetry_Int_Tables_number 11
_symmetry_space_group_name_Hall '-P 2yb'
_cell_length_a 9.2075
_cell_length_b 5.5477
_cell_length_c 11.9002
_cell_angle_alpha 90.00
_cell_angle_beta 108.80
_cell_angle_gamma 90.00
loop_
_atom_site_label
_atom_site_type_symbol
_atom_site_fract_x
_atom_site_fract_y
_atom_site_fract_z
Na1 Na 0.0021 0.2500 0.3410
Na2 Na 0.0044 0.2500 0.8458
Na3 Na 0.2176 0.2500 0.1414
Na4 Na 0.2180 0.7500 0.4775
Na5 Na 0.4042 0.2500 0.9336
Na6 Na 0.4236 0.7500 0.2765
Tl1 Tl 0.1972 0.2500 0.6415
Tl2 Tl 0.1990 0.7500 0.9621
Tl3 Tl 0.3896 0.7500 0.7675
Cd1 Cd 0.4079 0.2500 0.4384
```